Theoretical powder X-ray diffraction pattern
Compound: Tl2W2O7
Radiation: Cu Kα
Structure: a crystal structure in Alexandria, relaxed with GGA+U
Lines closer than 0.1° are merged.

```
Tl2W2O7
1.0
0.0000 5.3771 5.3771
5.3771 0.0000 5.3771
5.3771 5.3771 0.0000
Tl W O
4 4 14
Cartesian
0.0000 0.0000 0.0000
2.6885 2.6885 0.0000
2.6885 0.0000 2.6885
0.0000 2.6885 2.6885
5.3771 2.6885 2.6885
2.6885 5.3771 2.6885
2.6885 2.6885 5.3771
5.3771 5.3771 5.3771
1.3443 1.3443 1.3443
4.0328 4.0328 2.0540
4.0328 2.0540 4.0328
6.0116 4.0328 4.0328
6.7213 6.7213 4.7425
6.7213 4.7425 6.7213
8.7002 6.7213 6.7213
2.0540 4.0328 4.0328
4.0328 6.0116 4.0328
4.0328 4.0328 6.0116
4.7425 6.7213 6.7213
6.7213 8.7002 6.7213
6.7213 6.7213 8.7002
9.4098 9.4098 9.4098
```

The 10 most intense peaks (2θ from 10° to 90°), by angle:
two_theta	d (Å)	Rel. int.
28.76	3.104	100
33.33	2.689	41
36.42	2.467	1
47.85	1.901	42
56.79	1.621	46
59.56	1.552	13
69.99	1.344	7
77.36	1.234	19
79.76	1.202	17
89.24	1.098	13